Structure and theoretical powder XRD pattern of Na5LiMn2P2C2O14 (a DFT-relaxed cell (GGA+U, the Materials Project); copper Kα).

Peak list (10 most intense, 2θ = 15–90°, sorted by position)
| d/Å | I (rel.) | index |
| --- | --- | --- |
| 4.485 | 37 | 0 1 -2 |
| 3.404 | 100 | 2 0 0 |
| 2.717 | 71 | 2 -2 0 |
| 2.706 | 35 | 2 2 0 |
| 2.589 | 82 | 0 0 4 |
| 2.132 | 23 | 1 2 -4 |
| 1.880 | 23 | 2 -4 0 |
| 1.869 | 23 | 2 4 0 |
| 1.703 | 26 | 4 0 0 |
| 1.597 | 15 | 3 -2 4 |

Structure:
```
data_Na5LiMn2P2C2O14
_chemical_formula_sum 'Na10 Li2 Mn4 P4 C4 O28'
_cell_length_a 6.8131
_cell_length_b 8.9800
_cell_length_c 10.3518
_cell_angle_alpha 90.14
_cell_angle_beta 90.15
_cell_angle_gamma 90.29
_symmetry_space_group_name_H-M 'P 1'
_symmetry_Int_Tables_number 1
_symmetry_space_group_name_Hall 'P 1'
loop_
_atom_site_label
_atom_site_fract_x
_atom_site_fract_y
_atom_site_fract_z
Na1 0.0000 0.0000 0.0000
Na2 0.0011 0.0010 0.4997
Na3 0.0033 0.5186 0.2534
Na4 0.0038 0.5175 0.7510
Na5 0.2536 0.3436 0.9957
Na6 0.5004 0.5182 0.2535
Na7 0.5025 0.0013 0.4999
Na8 0.5038 0.0002 0.0003
Na9 0.7496 0.1772 0.7555
Na10 0.7521 0.1770 0.2566
Li1 0.2546 0.3442 0.4986
Li2 0.4938 0.5269 0.7539
Mn1 0.2514 0.8966 0.7638
Mn2 0.2519 0.8969 0.2658
Mn3 0.7496 0.6203 0.9851
Mn4 0.7507 0.6186 0.4887
P1 0.2516 0.6708 0.0226
P2 0.2548 0.6640 0.5260
P3 0.7477 0.8450 0.7263
P4 0.7518 0.8477 0.2278
C1 0.2519 0.2034 0.2477
C2 0.2576 0.2042 0.7403
C3 0.7501 0.3205 0.5092
C4 0.7509 0.3203 0.0075
O1 0.0666 0.5791 0.9829
O2 0.0700 0.5706 0.4883
O3 0.2510 0.1188 0.6384
O4 0.2510 0.3458 0.2302
O5 0.2523 0.1132 0.1485
O6 0.2520 0.1429 0.8544
O7 0.2524 0.1496 0.3647
O8 0.2522 0.8219 0.4645
O9 0.2516 0.8288 0.9623
O10 0.2547 0.6885 0.1729
O11 0.2638 0.6829 0.6765
O12 0.2689 0.3479 0.7270
O13 0.4330 0.5788 0.9789
O14 0.4340 0.5700 0.4823
O15 0.5674 0.9402 0.7669
O16 0.5687 0.9399 0.2680
O17 0.7382 0.6857 0.7849
O18 0.7470 0.4046 0.6118
O19 0.7498 0.3825 0.8941
O20 0.7502 0.4041 0.1103
O21 0.7504 0.8296 0.5761
O22 0.7512 0.8291 0.0776
O23 0.7524 0.1765 0.5198
O24 0.7515 0.3822 0.3955
O25 0.7521 0.6911 0.2901
O26 0.7526 0.1763 0.0180
O27 0.9342 0.9332 0.7695
O28 0.9360 0.9404 0.2681
```

=====

Structure and theoretical powder XRD pattern of NaLi5Mn2P2C2O14 (a DFT-relaxed cell (GGA+U, the Materials Project); copper Kα).

Peak list (10 most intense, 2θ = 15–90°, sorted by position)
| d/Å | I (rel.) | index |
| --- | --- | --- |
| 4.403 | 24 | 1 0 -2 |
| 4.246 | 24 | 1 0 2 |
| 3.339 | 100 | 0 2 0 |
| 2.641 | 19 | 2 2 0 |
| 2.497 | 22 | 0 0 4 |
| 2.426 | 15 | 1 0 -4 |
| 2.299 | 17 | 3 1 2 |
| 2.157 | 18 | 4 0 0 |
| 1.812 | 17 | 4 2 0 |
| 1.670 | 18 | 0 4 0 |

Structure:
```
data_NaLi5Mn2P2C2O14
_chemical_formula_sum 'Na2 Li10 Mn4 P4 C4 O28'
_cell_length_a 8.6338
_cell_length_b 6.6823
_cell_length_c 9.9974
_cell_angle_alpha 90.00
_cell_angle_beta 92.39
_cell_angle_gamma 90.00
_symmetry_space_group_name_H-M 'P 1 21 1'
_symmetry_Int_Tables_number 4
_symmetry_space_group_name_Hall 'P 2yb'
loop_
_atom_site_label
_atom_site_fract_x
_atom_site_fract_y
_atom_site_fract_z
Na1 0.2481 0.0000 0.1237
Li1 0.0843 0.2572 0.3806
Li2 0.0907 0.2523 0.8759
Li3 0.2655 0.0314 0.6325
Li4 0.2667 0.4698 0.6343
Li5 0.2697 0.4771 0.1351
Mn1 0.3508 0.7481 0.3672
Mn2 0.3539 0.7497 0.8572
P1 0.4062 0.2519 0.3979
P2 0.4084 0.2509 0.8911
C1 0.0378 0.7518 0.3863
C2 0.0430 0.7606 0.8881
O1 0.0785 0.7538 0.7631
O2 0.0791 0.7578 0.2634
O3 0.0990 0.2834 0.0770
O4 0.1082 0.2504 0.5847
O5 0.1416 0.7470 0.4845
O6 0.1519 0.7432 0.9815
O7 0.3032 0.0690 0.8494
O8 0.3074 0.4315 0.3440
O9 0.3137 0.0642 0.3515
O10 0.3181 0.4344 0.8320
O11 0.4169 0.2568 0.5548
O12 0.4220 0.2692 0.0470
O13 0.4240 0.7571 0.6497
O14 0.4256 0.7311 0.1604
```

=====

Structure and theoretical powder XRD pattern of NaLi5Mn2P2C2O14 (a DFT-relaxed cell (GGA+U, the Materials Project); copper Kα).

Peak list (10 most intense, 2θ = 15–90°, sorted by position)
| d/Å | I (rel.) | index |
| --- | --- | --- |
| 4.400 | 27 | 0 1 2 |
| 4.280 | 26 | 0 1 -2 |
| 3.320 | 100 | 2 0 0 |
| 2.879 | 11 | 0 3 0 |
| 2.642 | 12 | 2 2 0 |
| 2.623 | 11 | 2 -2 0 |
| 2.509 | 22 | 0 0 4 |
| 2.430 | 13 | 0 1 4 |
| 2.314 | 11 | 1 3 -2 |
| 1.659 | 14 | 4 0 0 |

Structure:
```
data_NaLi5Mn2P2C2O14
_chemical_formula_sum 'Na2 Li10 Mn4 P4 C4 O28'
_cell_length_a 6.6373
_cell_length_b 8.6425
_cell_length_c 10.0415
_cell_angle_alpha 88.18
_cell_angle_beta 89.94
_cell_angle_gamma 89.63
_symmetry_space_group_name_H-M 'P 1'
_symmetry_Int_Tables_number 1
_symmetry_space_group_name_Hall 'P 1'
loop_
_atom_site_label
_atom_site_fract_x
_atom_site_fract_y
_atom_site_fract_z
Na1 0.0000 0.0000 0.0000
Na2 0.2490 0.6652 0.4995
Li1 0.0227 0.4851 0.2586
Li2 0.0284 0.4853 0.7661
Li3 0.2631 0.6698 0.0036
Li4 0.4719 0.4847 0.7651
Li5 0.4760 0.4830 0.2594
Li6 0.5206 0.0184 0.9904
Li7 0.5291 0.0212 0.4898
Li8 0.7371 0.8381 0.2486
Li9 0.7430 0.8353 0.7463
Li10 0.9722 0.0199 0.4907
Mn1 0.2516 0.1058 0.2647
Mn2 0.2550 0.1027 0.7593
Mn3 0.7487 0.3993 0.4893
Mn4 0.7501 0.3977 0.9869
P1 0.2488 0.3362 0.5202
P2 0.2546 0.3460 0.0195
P3 0.7455 0.1632 0.2305
P4 0.7507 0.1595 0.7276
C1 0.2506 0.7899 0.7473
C2 0.2525 0.7986 0.2367
C3 0.7405 0.7086 0.0149
C4 0.7492 0.7136 0.5118
O1 0.0636 0.4281 0.4648
O2 0.0655 0.4344 0.9661
O3 0.2475 0.1640 0.4791
O4 0.2482 0.8428 0.8669
O5 0.2489 0.6413 0.7298
O6 0.2492 0.8584 0.3530
O7 0.2504 0.3362 0.6762
O8 0.2504 0.3368 0.1759
O9 0.2505 0.6489 0.2219
O10 0.2554 0.8855 0.6449
O11 0.2581 0.8902 0.1316
O12 0.2692 0.1783 0.9698
O13 0.4333 0.4267 0.4640
O14 0.4334 0.4490 0.9707
O15 0.5670 0.0673 0.2893
O16 0.5712 0.0608 0.7816
O17 0.7196 0.8515 0.0492
O18 0.7306 0.1717 0.0753
O19 0.7442 0.1687 0.5714
O20 0.7461 0.3293 0.7762
O21 0.7468 0.6715 0.3889
O22 0.7483 0.6094 0.6086
O23 0.7479 0.6717 0.8910
O24 0.7496 0.3326 0.2785
O25 0.7524 0.8592 0.5414
O26 0.7543 0.6014 0.1095
O27 0.9343 0.0672 0.2753
O28 0.9398 0.0672 0.7733
```

=====

Structure and theoretical powder XRD pattern of NaLi2MnPCO7 (a DFT-relaxed cell (GGA+U, the Materials Project); copper Kα).

Peak list (10 most intense, 2θ = 15–90°, sorted by position)
| d/Å | I (rel.) | index |
| --- | --- | --- |
| 5.338 | 19 | 0 1 1 |
| 4.274 | 25 | 1 0 1 |
| 3.387 | 100 | 0 2 0 |
| 2.895 | 24 | 0 0 3 |
| 2.702 | 19 | 1 2 -1 |
| 2.669 | 26 | 0 2 2 |
| 2.534 | 25 | 2 0 0 |
| 2.469 | 20 | 2 0 -1 |
| 2.307 | 22 | 1 1 3 |
| 1.826 | 19 | 0 2 4 |

Structure:
```
data_NaLi2MnPCO7
_chemical_formula_sum 'Na2 Li4 Mn2 P2 C2 O14'
_cell_length_a 5.0760
_cell_length_b 6.7718
_cell_length_c 8.6864
_cell_angle_alpha 90.00
_cell_angle_beta 93.16
_cell_angle_gamma 90.00
_symmetry_space_group_name_H-M 'P 1 21 1'
_symmetry_Int_Tables_number 4
_symmetry_space_group_name_Hall 'P 2yb'
loop_
_atom_site_label
_atom_site_fract_x
_atom_site_fract_y
_atom_site_fract_z
Na1 0.2405 0.0000 0.2454
Li1 0.2580 0.4657 0.2786
Li2 0.2624 0.7661 0.8967
Mn1 0.2796 0.2446 0.6491
P1 0.2196 0.7482 0.5899
C1 0.2175 0.2677 0.9611
O1 0.0421 0.2430 0.8470
O2 0.0874 0.2700 0.4264
O3 0.1367 0.2853 0.1000
O4 0.2939 0.5653 0.6913
O5 0.3213 0.7335 0.4250
O6 0.3388 0.9271 0.6832
O7 0.4658 0.2722 0.9335
```

=====

Structure and theoretical powder XRD pattern of NaLi5Mn2P2C2O14 (a DFT-relaxed cell (GGA+U, the Materials Project); copper Kα).

Peak list (10 most intense, 2θ = 15–90°, sorted by position)
| d/Å | I (rel.) | index |
| --- | --- | --- |
| 4.408 | 27 | 1 -1 0 |
| 4.263 | 26 | 1 1 0 |
| 3.329 | 100 | 0 0 4 |
| 3.212 | 11 | 1 2 0 |
| 2.882 | 14 | 0 3 0 |
| 2.651 | 13 | 0 2 -4 |
| 2.504 | 21 | 2 0 0 |
| 2.430 | 13 | 2 -1 0 |
| 2.162 | 11 | 0 4 0 |
| 1.663 | 14 | 0 0 8 |

Structure:
```
data_NaLi5Mn2P2C2O14
_chemical_formula_sum 'Na2 Li10 Mn4 P4 C4 O28'
_cell_length_a 5.0118
_cell_length_b 8.6548
_cell_length_c 13.3071
_cell_angle_alpha 90.67
_cell_angle_beta 90.08
_cell_angle_gamma 92.21
_symmetry_space_group_name_H-M 'P 1'
_symmetry_Int_Tables_number 1
_symmetry_space_group_name_Hall 'P 1'
loop_
_atom_site_label
_atom_site_fract_x
_atom_site_fract_y
_atom_site_fract_z
Na1 0.0000 0.0000 0.0000
Na2 0.4991 0.1591 0.3773
Li1 0.0049 0.3369 0.1325
Li2 0.0056 0.3321 0.6273
Li3 0.4934 0.1634 0.8647
Li4 0.5178 0.5126 0.0139
Li5 0.5181 0.5148 0.7356
Li6 0.5200 0.5114 0.2408
Li7 0.5218 0.5112 0.5128
Li8 0.9703 0.9747 0.2684
Li9 0.9714 0.9803 0.4897
Li10 0.9763 0.9768 0.7624
Mn1 0.5197 0.8904 0.1269
Mn2 0.5211 0.8933 0.6273
Mn3 0.9704 0.6001 0.8752
Mn4 0.9762 0.5983 0.3762
P1 0.0337 0.6536 0.1270
P2 0.0344 0.6560 0.6267
P3 0.4547 0.8382 0.8733
P4 0.4595 0.8305 0.3762
C1 0.0132 0.2938 0.3764
C2 0.0267 0.2899 0.8691
C3 0.4742 0.2075 0.6233
C4 0.4784 0.2080 0.1284
O1 0.0255 0.1433 0.3771
O2 0.0945 0.1471 0.8594
O3 0.1442 0.8263 0.8624
O4 0.1463 0.8312 0.3771
O5 0.2153 0.3978 0.8755
O6 0.2294 0.3814 0.3763
O7 0.2833 0.1008 0.6210
O8 0.2867 0.1026 0.1335
O9 0.3465 0.6613 0.1245
O10 0.3477 0.6628 0.6278
O11 0.4114 0.3522 0.6255
O12 0.4158 0.3529 0.1259
O13 0.5298 0.9334 0.9697
O14 0.5435 0.6598 0.3738
O15 0.5555 0.6705 0.8752
O16 0.5666 0.9227 0.2844
O17 0.5721 0.9206 0.4694
O18 0.5753 0.9361 0.7856
O19 0.7218 0.1683 0.6231
O20 0.7251 0.1683 0.1267
O21 0.7778 0.3260 0.8727
O22 0.7843 0.3585 0.3756
O23 0.9217 0.5639 0.0335
O24 0.9254 0.5590 0.7165
O25 0.9304 0.5630 0.5333
O26 0.9356 0.5540 0.2172
O27 0.9396 0.8224 0.1336
O28 0.9430 0.8260 0.6279
```

=====

Structure and theoretical powder XRD pattern of Na5LiMn2P2C2O14 (a DFT-relaxed cell (GGA+U, the Materials Project); copper Kα).

Peak list (10 most intense, 2θ = 15–90°, sorted by position)
| d/Å | I (rel.) | index |
| --- | --- | --- |
| 4.478 | 48 | 0 1 -2 |
| 3.409 | 100 | 2 0 0 |
| 3.387 | 45 | 0 2 -2 |
| 2.716 | 92 | 2 -2 0 |
| 2.705 | 46 | 2 2 0 |
| 2.586 | 96 | 0 0 4 |
| 2.129 | 30 | 1 2 -4 |
| 1.877 | 25 | 2 -4 0 |
| 1.867 | 30 | 2 4 0 |
| 1.705 | 33 | 4 0 0 |

Structure:
```
data_Na5LiMn2P2C2O14
_chemical_formula_sum 'Na10 Li2 Mn4 P4 C4 O28'
_cell_length_a 6.8181
_cell_length_b 8.9605
_cell_length_c 10.3357
_cell_angle_alpha 90.20
_cell_angle_beta 90.15
_cell_angle_gamma 90.31
_symmetry_space_group_name_H-M 'P 1'
_symmetry_Int_Tables_number 1
_symmetry_space_group_name_Hall 'P 1'
loop_
_atom_site_label
_atom_site_fract_x
_atom_site_fract_y
_atom_site_fract_z
Na1 0.0000 0.0000 0.0000
Na2 0.0003 0.0002 0.4974
Na3 0.2460 0.1756 0.7543
Na4 0.4964 0.9998 0.4972
Na5 0.4968 0.9998 0.9996
Na6 0.4988 0.5172 0.2512
Na7 0.5006 0.5171 0.7508
Na8 0.7503 0.3423 0.9948
Na9 0.7507 0.3415 0.4950
Na10 0.9981 0.5168 0.2513
Li1 0.2483 0.1740 0.2530
Li2 0.9869 0.5284 0.7551
Mn1 0.2460 0.6191 0.9847
Mn2 0.2474 0.6188 0.4869
Mn3 0.7479 0.8968 0.7631
Mn4 0.7485 0.8981 0.2640
P1 0.2440 0.8447 0.7254
P2 0.2484 0.8524 0.2260
P3 0.7481 0.6695 0.0219
P4 0.7516 0.6674 0.5245
C1 0.2472 0.3141 0.5040
C2 0.2475 0.3175 0.0108
C3 0.7484 0.1987 0.2427
C4 0.7544 0.2024 0.7432
O1 0.0644 0.9398 0.7669
O2 0.0672 0.9475 0.2658
O3 0.2340 0.6838 0.7825
O4 0.2448 0.4049 0.6033
O5 0.2469 0.3767 0.8959
O6 0.2466 0.4042 0.1122
O7 0.2470 0.8302 0.5748
O8 0.2479 0.3671 0.3867
O9 0.2477 0.8302 0.0758
O10 0.2492 0.1711 0.5220
O11 0.2492 0.1737 0.0260
O12 0.2486 0.6952 0.2888
O13 0.4303 0.9325 0.7694
O14 0.4307 0.9478 0.2659
O15 0.5632 0.5775 0.9818
O16 0.5654 0.5764 0.4852
O17 0.7475 0.3427 0.2321
O18 0.7479 0.1185 0.6399
O19 0.7482 0.1388 0.8561
O20 0.7481 0.8279 0.9622
O21 0.7488 0.1142 0.1396
O22 0.7491 0.1361 0.3562
O23 0.7486 0.8265 0.4655
O24 0.7513 0.6870 0.1727
O25 0.7607 0.6815 0.6759
O26 0.7661 0.3472 0.7335
O27 0.9293 0.5772 0.9774
O28 0.9320 0.5764 0.4788
```

=====

What is the formula in the third record?
NaLi5Mn2P2C2O14